Record 1
Simulated X-ray diffraction stick pattern
Compound: Mn10ZnN8
Radiation: copper Kα
Structure: a structure optimized by DFT (PBE)
Lines closer than 0.1° are merged.

Cell and atoms:
abc: 15.054 4.044 7.017
angles: 90.00 112.81 90.00
Space group C2/m (No. 12)
Unique sites:
Mn  0.034  0.000  0.284 (multiplicity 4)
Mn  0.093  0.500  0.981 (multiplicity 4)
Mn  0.181  0.500  0.411 (multiplicity 4)
Mn  0.194  0.000  0.197 (multiplicity 4)
Mn  0.200  0.000  0.839 (multiplicity 4)
Zn  0.000  0.500  0.500 (multiplicity 2)
N  0.045  0.500  0.222 (multiplicity 4)
N  0.092  0.000  0.938 (multiplicity 4)
N  0.176  0.000  0.448 (multiplicity 4)
N  0.197  0.500  0.864 (multiplicity 4)

Main lines, low angle first (5 to 70 degrees two-theta):
2θ (°), intensity, (hkl)
34.1, 255, 1 1 -2
37.3, 558, 5 1 -1
38.1, 568, 1 1 2
39.8, 217, 4 0 -3
40.4, 304, 5 1 -2
44.8, 1000, 0 2 0

=====

Record 2
Simulated X-ray diffraction stick pattern
Compound: Mn3ZnN
Radiation: copper Kα
Structure: a structure optimized by DFT (PBE)
Lines closer than 0.1° are merged.

Cell and atoms:
abc: 3.790 3.790 3.790
angles: 90.00 90.00 90.00
Space group Pm-3m (No. 221)
Unique sites:
Mn  0.000  0.000  0.500 (multiplicity 3)
Zn  0.500  0.500  0.500 (multiplicity 1)
N  0.000  0.000  0.000 (multiplicity 1)

Main lines, low angle first (5 to 70 degrees two-theta):
2θ (°), intensity, (hkl)
33.4, 45, 1 1 0
41.3, 1000, 1 1 1
48.0, 577, 2 0 0
59.8, 15, 2 1 1

=====

Record 3
Simulated X-ray diffraction stick pattern
Compound: MnZnN2
Radiation: copper Kα
Structure: a structure optimized by DFT (PBE)
Lines closer than 0.1° are merged.

Cell and atoms:
abc: 5.440 6.269 5.223
angles: 90.00 90.00 90.00
Space group Pna2_1 (No. 33)
Unique sites:
Mn  0.072  0.126  0.000 (multiplicity 4)
Zn  0.087  0.620  0.005 (multiplicity 4)
N  0.063  0.108  0.347 (multiplicity 4)
N  0.108  0.645  0.396 (multiplicity 4)

Main lines, low angle first (5 to 70 degrees two-theta):
2θ (°), intensity, (hkl)
33.0, 448, 2 0 0
34.3, 371, 0 0 2
37.3, 1000, 1 2 1
48.3, 199, 2 0 2
58.8, 183, 3 2 0
63.5, 307, 1 2 3

=====

Record 4
Simulated X-ray diffraction stick pattern
Compound: Mn2ZnN2
Radiation: copper Kα
Structure: a structure optimized by DFT (PBE)
Lines closer than 0.1° are merged.

Cell and atoms:
abc: 3.622 3.622 5.035
angles: 90.00 90.00 90.00
Space group P-4m2 (No. 115)
Unique sites:
Mn  0.000  0.000  0.248 (multiplicity 2)
Zn  0.500  0.500  0.500 (multiplicity 1)
N  0.000  0.500  0.753 (multiplicity 2)

Main lines, low angle first (5 to 70 degrees two-theta):
2θ (°), intensity, (hkl)
17.6, 385, 0 0 1
30.4, 510, 1 0 1
35.0, 701, 1 1 0
43.8, 1000, 1 0 2
50.4, 410, 2 0 0
68.9, 463, 2 1 2

=====

Record 5
Simulated X-ray diffraction stick pattern
Compound: ZrMnN2
Radiation: copper Kα
Structure: a structure optimized by DFT (PBE)
Lines closer than 0.1° are merged.

Cell and atoms:
abc: 5.442 3.217 4.975
angles: 90.00 111.91 90.00
Space group C2/m (No. 12)
Unique sites:
Zr  0.000  0.000  0.000 (multiplicity 2)
Mn  0.000  0.500  0.500 (multiplicity 2)
N  0.240  0.000  0.722 (multiplicity 4)

Main lines, low angle first (5 to 70 degrees two-theta):
2θ (°), intensity, (hkl)
34.8, 840, 1 1 -1
35.6, 398, 2 0 0
39.0, 316, 0 0 2
41.9, 1000, 1 1 1
42.0, 494, 2 0 -2
58.4, 344, 3 1 -1

=====

Please write out number 5 again, unchanged.
Simulated X-ray diffraction stick pattern
Compound: ZrMnN2
Radiation: copper Kα
Structure: a structure optimized by DFT (PBE)
Lines closer than 0.1° are merged.

Cell and atoms:
abc: 5.442 3.217 4.975
angles: 90.00 111.91 90.00
Space group C2/m (No. 12)
Unique sites:
Zr  0.000  0.000  0.000 (multiplicity 2)
Mn  0.000  0.500  0.500 (multiplicity 2)
N  0.240  0.000  0.722 (multiplicity 4)

Main lines, low angle first (5 to 70 degrees two-theta):
2θ (°), intensity, (hkl)
34.8, 840, 1 1 -1
35.6, 398, 2 0 0
39.0, 316, 0 0 2
41.9, 1000, 1 1 1
42.0, 494, 2 0 -2
58.4, 344, 3 1 -1

=====

Q: Number 1 is which compound?
A: Mn10ZnN8